No. 1
Structure and simulated PXRD pattern of NaSm2TeO6 (a PBE-relaxed structure; a wavelength of 1.5418 Å).
No peak broadening, texture or thermal motion is included.

Structural model:
```
NaSm2TeO6
1.0
2.937 1.696 5.056
-2.937 1.696 5.056
0.000 -3.391 5.056
Na Sm Te O
1 2 1 6
Direct
0.000 0.000 0.000
0.270 0.270 0.270
0.778 0.778 0.778
0.481 0.481 0.481
0.127 0.660 0.394
0.211 0.584 0.849
0.394 0.127 0.660
0.584 0.849 0.211
0.660 0.394 0.127
0.849 0.211 0.584
```

Largest 10 diffraction maxima, sorted by position, 2θ = 15–90°:
Position (°2θ)  d (Å)  Rel. int.
18.40  4.823  23
21.03  4.225  54
29.38  3.040  98
30.44  2.937  100
35.34  2.540  15
42.81  2.112  42
47.45  1.916  44
53.43  1.715  42
54.08  1.696  31
71.32  1.322  15

***

No. 2
Structure and simulated PXRD pattern of NaSmTiO4 (a PBE-relaxed structure; a wavelength of 1.5418 Å).
No peak broadening, texture or thermal motion is included.

Structural model:
```
NaSmTiO4
1.0
3.740 0.000 0.000
0.000 3.740 0.000
0.000 0.000 13.030
Na Sm Ti O
2 2 2 8
Direct
0.250 0.250 0.083
0.750 0.750 0.917
0.250 0.250 0.393
0.750 0.750 0.607
0.250 0.250 0.769
0.750 0.750 0.231
0.250 0.250 0.568
0.250 0.250 0.904
0.250 0.750 0.270
0.250 0.750 0.730
0.750 0.250 0.270
0.750 0.250 0.730
0.750 0.750 0.096
0.750 0.750 0.432
```

Largest 10 diffraction maxima, sorted by position, 2θ = 15–90°:
Position (°2θ)  d (Å)  Rel. int.
27.50  3.243  93
31.57  2.834  100
33.90  2.644  69
34.61  2.591  20
44.11  2.053  28
48.70  1.870  39
49.08  1.856  26
54.69  1.678  17
56.82  1.620  30
59.20  1.561  34